Theoretical powder XRD pattern
Compound: LaH3Ir
Radiation: Cu Kα, 1.54184 Å
Structure: a crystal structure in Alexandria, relaxed with GGA-PBE
Neutral-atom scattering factors, no anomalous dispersion.

The 10 most intense peaks (2θ from 10° to 90°), by angle:
d_spacing	intensity
3.379	100
3.240	73
2.917	53
2.899	69
2.886	88
2.673	64
2.477	69
2.353	60
2.315	77
2.221	73

Structure:
Lattice parameters (Å, degrees): 4.4894 4.6851 6.0971 71.34 89.55 81.91
Element x y z (fractional)
La: 0.2469 0.1663 0.2197
La: 0.7531 0.8337 0.7803
H: 0.1959 0.0605 0.8111
H: 0.2693 0.7963 0.5864
H: 0.4622 0.6542 0.1345
H: 0.5378 0.3458 0.8655
H: 0.7307 0.2037 0.4136
H: 0.8041 0.9395 0.1889
Ir: 0.2352 0.4259 0.6792
Ir: 0.7648 0.5741 0.3208



Theoretical powder XRD pattern
Compound: NdMnNi3
Radiation: Cu Kα, 1.54184 Å
Structure: a crystal structure in Alexandria, relaxed with GGA-PBE
Neutral-atom scattering factors, no anomalous dispersion.

The 10 most intense peaks (2θ from 10° to 90°), by angle:
d_spacing	intensity
2.930	33
2.709	30
2.537	10
2.390	29
2.298	100
1.852	32
1.808	20
1.471	23
1.465	16
1.235	11

Structure:
Lattice parameters (Å, degrees): 5.8600 5.8600 5.4174 90.00 90.00 120.00
Element x y z (fractional)
Nd: 0.3333 0.6667 0.2492
Nd: 0.6667 0.3333 0.7508
Mn: 0.0000 0.0000 0.0000
Mn: 0.0000 0.0000 0.5000
Ni: 0.1970 0.3940 0.7493
Ni: 0.1970 0.8030 0.7493
Ni: 0.3940 0.1970 0.2507
Ni: 0.6060 0.8030 0.7493
Ni: 0.8030 0.1970 0.2507
Ni: 0.8030 0.6060 0.2507



Theoretical powder XRD pattern
Compound: TePb2O4
Radiation: Cu Kα, 1.54184 Å
Structure: a crystal structure in Alexandria, relaxed with GGA-PBE
Neutral-atom scattering factors, no anomalous dispersion.

The 10 most intense peaks (2θ from 10° to 90°), by angle:
d_spacing	intensity
4.048	19
3.289	100
3.207	31
3.172	98
2.725	44
2.567	28
2.077	26
1.869	26
1.663	16
1.646	21

Structure:
Lattice parameters (Å, degrees): 6.4249 5.4501 8.1845 90.00 109.78 90.00
Element x y z (fractional)
Te: 0.0584 0.2500 0.3739
Te: 0.9416 0.7500 0.6261
Pb: 0.2776 0.2500 0.9690
Pb: 0.4160 0.7500 0.3294
Pb: 0.5840 0.2500 0.6706
Pb: 0.7224 0.7500 0.0310
O: 0.2229 0.0050 0.5320
O: 0.2229 0.4950 0.5320
O: 0.2828 0.2500 0.2547
O: 0.3795 0.7500 0.0261
O: 0.6205 0.2500 0.9739
O: 0.7172 0.7500 0.7453
O: 0.7771 0.5050 0.4680
O: 0.7771 0.9950 0.4680



Theoretical powder XRD pattern
Compound: Zn2AsW
Radiation: Cu Kα, 1.54184 Å
Structure: a crystal structure in Alexandria, relaxed with GGA-PBE
Neutral-atom scattering factors, no anomalous dispersion.

The 10 most intense peaks (2θ from 10° to 90°), by angle:
d_spacing	intensity
3.722	14
3.267	10
2.264	100
2.084	20
2.066	19
1.778	12
1.467	12
1.235	14
1.228	13
1.132	11

Structure:
Lattice parameters (Å, degrees): 4.9584 4.9584 4.9584 137.97 130.29 67.08
Element x y z (fractional)
Zn: 0.0000 0.0000 0.0000
Zn: 0.7586 0.2586 0.5000
As: 0.2566 0.7566 0.5000
W: 0.4994 0.4994 0.0000



Theoretical powder XRD pattern
Compound: La3ZnN3
Radiation: Cu Kα, 1.54184 Å
Structure: a crystal structure in Alexandria, relaxed with GGA-PBE
Neutral-atom scattering factors, no anomalous dispersion.

The 10 most intense peaks (2θ from 10° to 90°), by angle:
d_spacing	intensity
2.988	10
2.891	100
2.675	63
2.241	13
1.993	12
1.891	22
1.718	22
1.583	34
1.445	12
1.196	9

Structure:
Lattice parameters (Å, degrees): 3.7826 3.7826 8.9626 90.00 90.00 90.00
Element x y z (fractional)
La: 0.0000 0.0000 0.0000
La: 0.5000 0.5000 0.2826
La: 0.5000 0.5000 0.7174
Zn: 0.0000 0.0000 0.5000
N: 0.0000 0.0000 0.2795
N: 0.0000 0.0000 0.7205
N: 0.5000 0.5000 0.0000



Theoretical powder XRD pattern
Compound: K4Pm3ErSe8
Radiation: Cu Kα, 1.54184 Å
Structure: a crystal structure in Alexandria, relaxed with GGA-PBE
Neutral-atom scattering factors, no anomalous dispersion.

The 10 most intense peaks (2θ from 10° to 90°), by angle:
d_spacing	intensity
7.696	52
3.665	12
3.122	100
2.466	18
2.278	35
2.143	36
2.064	13
1.767	18
1.432	11
1.363	15

Structure:
Lattice parameters (Å, degrees): 9.1502 9.1502 9.1502 55.86 55.86 55.86
Element x y z (fractional)
K: 0.0000 0.0000 0.0000
K: 0.0000 0.5000 0.5000
K: 0.5000 0.0000 0.5000
K: 0.5000 0.5000 0.0000
Pm: 0.0000 0.0000 0.5000
Pm: 0.0000 0.5000 0.0000
Pm: 0.5000 0.0000 0.0000
Er: 0.5000 0.5000 0.5000
Se: 0.2369 0.2369 0.2369
Se: 0.2432 0.7320 0.7320
Se: 0.2680 0.2680 0.7568
Se: 0.2680 0.7568 0.2680
Se: 0.7320 0.2432 0.7320
Se: 0.7320 0.7320 0.2432
Se: 0.7568 0.2680 0.2680
Se: 0.7631 0.7631 0.7631



Theoretical powder XRD pattern
Compound: Li2PrNd2Sb2
Radiation: Cu Kα, 1.54184 Å
Structure: a crystal structure in Alexandria, relaxed with GGA-PBE
Neutral-atom scattering factors, no anomalous dispersion.

The 10 most intense peaks (2θ from 10° to 90°), by angle:
d_spacing	intensity
4.107	79
2.883	95
2.678	100
2.397	93
1.843	26
1.786	30
1.474	38
1.461	24
1.432	29
1.384	16

Structure:
Lattice parameters (Å, degrees): 9.7485 9.7485 9.7485 28.47 28.47 28.47
Element x y z (fractional)
Li: 0.0932 0.0932 0.0932
Li: 0.9068 0.9068 0.9068
Pr: 0.5000 0.5000 0.5000
Nd: 0.3696 0.3696 0.3696
Nd: 0.6304 0.6304 0.6304
Sb: 0.2360 0.2360 0.2360
Sb: 0.7640 0.7640 0.7640